Structure and calculated powder diffractogram of LiDy2Pt (a cell relaxed with PBE; Cu Kα X-rays).

The 10 most intense peaks (2θ = 10–90°), in order of falling intensity:
hkl	2theta	intensity
2 2 0	36.1	100.0
4 2 2	65.0	36.6
1 1 1	21.9	30.6
4 0 0	52.0	17.8
6 2 0	87.8	16.7
3 1 1	42.7	16.5
4 4 0	76.7	11.4
2 0 0	25.3	7.3
3 3 1	57.1	7.1
5 3 1	80.9	5.3

Crystal structure
```
data_LiDy2Pt
_chemical_formula_sum 'Li4 Dy8 Pt4'
_cell_length_a 7.0286
_cell_length_b 7.0286
_cell_length_c 7.0286
_cell_angle_alpha 90.00
_cell_angle_beta 90.00
_cell_angle_gamma 90.00
_space_group_name_H-M_alt 'F m -3 m'
_space_group_IT_number 225
_space_group_name_Hall '-F 4 2 3'
loop_
_atom_site_label
_atom_site_type_symbol
_atom_site_fract_x
_atom_site_fract_y
_atom_site_fract_z
Li1 Li 0.0000 0.0000 0.0000
Dy1 Dy 0.2500 0.2500 0.2500
Pt1 Pt 0.0000 0.0000 0.5000
```

=====

Structure and calculated powder diffractogram of TlCu4S3 (a cell relaxed with PBE; Cu Kα X-rays).

The 10 most intense peaks (2θ = 10–90°), in order of falling intensity:
hkl	2theta	intensity
1 0 2	29.8	100.0
1 1 1	34.0	92.3
2 0 0	46.8	54.8
1 1 2	37.9	52.6
0 0 3	28.4	51.3
1 1 4	51.1	50.7
1 0 1	24.8	39.3
2 1 2	56.5	31.6
2 0 3	55.7	31.5
1 0 3	36.8	30.3

Crystal structure
```
data_TlCu4S3
_chemical_formula_sum 'Tl1 Cu4 S3'
_cell_length_a 3.8814
_cell_length_b 3.8814
_cell_length_c 9.4176
_cell_angle_alpha 90.00
_cell_angle_beta 90.00
_cell_angle_gamma 90.00
_space_group_name_H-M_alt 'P 4/m m m'
_space_group_IT_number 123
_space_group_name_Hall '-P 4 2'
loop_
_atom_site_label
_atom_site_type_symbol
_atom_site_fract_x
_atom_site_fract_y
_atom_site_fract_z
Tl1 Tl 0.0000 0.0000 0.0000
Cu1 Cu 0.0000 0.5000 0.3407
S1 S 0.0000 0.0000 0.5000
S2 S 0.5000 0.5000 0.2088
```

=====

Structure and calculated powder diffractogram of Ho3Er3MnBi2 (a cell relaxed with PBE; Cu Kα X-rays).

The 10 most intense peaks (2θ = 10–90°), in order of falling intensity:
hkl	2theta	intensity
1 1 1	30.2	100.0
2 0 1	32.7	54.6
2 1 0	33.2	54.3
2 1 1	39.5	32.2
3 0 0	37.8	30.7
2 1 2	55.0	26.3
0 0 2	42.5	21.9
3 2 1	60.5	21.6
4 1 1	63.5	20.6
3 0 2	58.2	17.6

Crystal structure
```
data_Ho3Er3MnBi2
_chemical_formula_sum 'Ho3 Er3 Mn1 Bi2'
_cell_length_a 8.2525
_cell_length_b 8.2525
_cell_length_c 4.2494
_cell_angle_alpha 90.00
_cell_angle_beta 90.00
_cell_angle_gamma 120.00
_space_group_name_H-M_alt 'P -6 2 m'
_space_group_IT_number 189
_space_group_name_Hall 'P -6 -2'
loop_
_atom_site_label
_atom_site_type_symbol
_atom_site_fract_x
_atom_site_fract_y
_atom_site_fract_z
Ho1 Ho 0.0000 0.7671 0.0000
Er1 Er 0.0000 0.3925 0.5000
Mn1 Mn 0.0000 0.0000 0.5000
Bi1 Bi 0.3333 0.6667 0.0000
```

=====

Structure and calculated powder diffractogram of Na4CaYP3O12 (a cell relaxed with PBE; Cu Kα X-rays).

The 10 most intense peaks (2θ = 10–90°), in order of falling intensity:
hkl	2theta	intensity
1 1 6	30.2	100.0
3 0 0	32.7	68.1
2 2 6	45.1	42.2
1 0 4	19.0	41.9
1 1 3	22.1	39.4
4 1 6	56.8	28.2
0 1 2	13.3	22.1
2 1 1	29.0	16.6
1 1 0	18.7	15.9
4 1 0	50.9	15.4

Crystal structure
```
data_Na4CaYP3O12
_chemical_formula_sum 'Na24 Ca6 Y6 P18 O72'
_cell_length_a 9.4915
_cell_length_b 9.4915
_cell_length_c 22.6833
_cell_angle_alpha 90.00
_cell_angle_beta 90.00
_cell_angle_gamma 120.00
_space_group_name_H-M_alt 'R 3 c'
_space_group_IT_number 161
_space_group_name_Hall 'R 3 -2"c'
loop_
_atom_site_label
_atom_site_type_symbol
_atom_site_fract_x
_atom_site_fract_y
_atom_site_fract_z
Na1 Na 0.0000 0.0000 0.0000
Na2 Na 0.0378 0.3443 0.0835
Ca1 Ca 0.0000 0.0000 0.3506
Y1 Y 0.0000 0.0000 0.1568
P1 P 0.0031 0.3114 0.2558
O1 O 0.0158 0.2191 0.2008
O2 O 0.1176 0.4407 0.9787
O3 O 0.1487 0.4808 0.5863
O4 O 0.1615 0.4831 0.2554
```

=====

Structure and calculated powder diffractogram of Ba3Nb6Si4O26 (a cell relaxed with PBE; Cu Kα X-rays).

The 10 most intense peaks (2θ = 10–90°), in order of falling intensity:
hkl	2theta	intensity
2 1 0	29.7	100.0
1 1 2	30.0	91.2
1 1 1	22.4	72.9
0 0 1	11.3	47.8
2 0 2	32.0	40.6
2 1 4	56.0	33.1
2 0 1	25.1	24.2
3 2 2	55.6	22.7
1 0 2	25.3	22.6
0 0 4	46.3	22.5

Crystal structure
```
data_Ba3Nb6Si4O26
_chemical_formula_sum 'Ba3 Nb6 Si4 O26'
_cell_length_a 9.1814
_cell_length_b 9.1814
_cell_length_c 7.8509
_cell_angle_alpha 90.00
_cell_angle_beta 90.00
_cell_angle_gamma 120.00
_space_group_name_H-M_alt 'P -6 2 m'
_space_group_IT_number 189
_space_group_name_Hall 'P -6 -2'
loop_
_atom_site_label
_atom_site_type_symbol
_atom_site_fract_x
_atom_site_fract_y
_atom_site_fract_z
Ba1 Ba 0.0000 0.5999 0.0000
Nb1 Nb 0.0000 0.2388 0.2557
Si1 Si 0.3333 0.6667 0.2942
O1 O 0.0000 0.2309 0.0000
O2 O 0.0000 0.2789 0.5000
O3 O 0.0000 0.8240 0.2652
O4 O 0.1841 0.4888 0.2161
O5 O 0.3333 0.6667 0.5000
```

=====

Structure and calculated powder diffractogram of BaSrSn2O6 (a cell relaxed with PBE; Cu Kα X-rays).

The 10 most intense peaks (2θ = 10–90°), in order of falling intensity:
hkl	2theta	intensity
2 2 0	30.5	100.0
4 2 2	54.1	41.4
4 0 0	43.6	31.6
6 4 2	88.0	23.4
4 4 0	63.4	19.9
6 2 0	71.9	18.5
4 4 4	80.1	6.8
1 1 1	18.5	2.3
2 0 0	21.4	2.1
3 1 1	35.9	1.3

Crystal structure
```
data_BaSrSn2O6
_chemical_formula_sum 'Ba4 Sr4 Sn8 O24'
_cell_length_a 8.3031
_cell_length_b 8.3031
_cell_length_c 8.3031
_cell_angle_alpha 90.00
_cell_angle_beta 90.00
_cell_angle_gamma 90.00
_space_group_name_H-M_alt 'F m -3 m'
_space_group_IT_number 225
_space_group_name_Hall '-F 4 2 3'
loop_
_atom_site_label
_atom_site_type_symbol
_atom_site_fract_x
_atom_site_fract_y
_atom_site_fract_z
Ba1 Ba 0.0000 0.0000 0.0000
Sr1 Sr 0.0000 0.0000 0.5000
Sn1 Sn 0.2500 0.2500 0.2500
O1 O 0.0000 0.2500 0.2500
```

=====

Structure and calculated powder diffractogram of Er2InAg (a cell relaxed with PBE; Cu Kα X-rays).

The 10 most intense peaks (2θ = 10–90°), in order of falling intensity:
hkl	2theta	intensity
1 1 0	34.5	100.0
2 1 2	61.9	23.9
2 0 0	49.7	11.9
1 1 4	61.7	11.3
3 1 0	83.3	10.5
2 0 4	72.7	6.9
0 0 4	49.4	5.5
1 0 6	82.8	4.4
2 2 0	72.9	3.8
1 0 0	24.3	2.6

Crystal structure
```
data_Er2InAg
_chemical_formula_sum 'Er2 In1 Ag1'
_cell_length_a 3.6691
_cell_length_b 3.6691
_cell_length_c 7.3790
_cell_angle_alpha 90.00
_cell_angle_beta 90.00
_cell_angle_gamma 90.00
_space_group_name_H-M_alt 'P 4/m m m'
_space_group_IT_number 123
_space_group_name_Hall '-P 4 2'
loop_
_atom_site_label
_atom_site_type_symbol
_atom_site_fract_x
_atom_site_fract_y
_atom_site_fract_z
Er1 Er 0.0000 0.0000 0.2345
In1 In 0.5000 0.5000 0.5000
Ag1 Ag 0.5000 0.5000 0.0000
```

=====

Structure and calculated powder diffractogram of PmLuIn2 (a cell relaxed with PBE; Cu Kα X-rays).

The 10 most intense peaks (2θ = 10–90°), in order of falling intensity:
hkl	2theta	intensity
2 2 0	33.5	100.0
4 2 2	59.8	37.1
4 0 0	48.1	18.0
6 2 0	80.2	15.9
4 4 0	70.3	11.4
4 4 4	89.7	4.2
2 0 0	23.5	2.9
4 2 0	54.2	1.4
2 2 2	41.3	0.9
6 0 0	75.3	0.7

Crystal structure
```
data_PmLuIn2
_chemical_formula_sum 'Pm4 Lu4 In8'
_cell_length_a 7.5708
_cell_length_b 7.5708
_cell_length_c 7.5708
_cell_angle_alpha 90.00
_cell_angle_beta 90.00
_cell_angle_gamma 90.00
_space_group_name_H-M_alt 'F m -3 m'
_space_group_IT_number 225
_space_group_name_Hall '-F 4 2 3'
loop_
_atom_site_label
_atom_site_type_symbol
_atom_site_fract_x
_atom_site_fract_y
_atom_site_fract_z
Pm1 Pm 0.0000 0.0000 0.0000
Lu1 Lu 0.0000 0.0000 0.5000
In1 In 0.2500 0.2500 0.2500
```

=====

Structure and calculated powder diffractogram of Cu19Se11 (a cell relaxed with PBE; Cu Kα X-rays).

The 10 most intense peaks (2θ = 10–90°), in order of falling intensity:
hkl	2theta	intensity
1 1 -2	43.3	100.0
1 -2 2	44.4	85.5
2 -1 0	45.7	84.3
0 0 11	27.2	57.3
1 0 14	44.8	56.5
-1 1 14	43.4	52.2
0 1 -16	46.5	49.5
0 1 -5	27.0	46.0
1 0 3	26.8	39.2
-1 1 3	26.7	35.8

Crystal structure
```
data_Cu19Se11
_chemical_formula_sum 'Cu19 Se11'
_cell_length_a 3.9750
_cell_length_b 4.1118
_cell_length_c 36.1075
_cell_angle_alpha 90.89
_cell_angle_beta 92.55
_cell_angle_gamma 117.60
_space_group_name_H-M_alt 'P 1'
_space_group_IT_number 1
loop_
_space_group_symop_operation_xyz
'x,y,z'
loop_
_atom_site_label
_atom_site_type_symbol
_atom_site_fract_x
_atom_site_fract_y
_atom_site_fract_z
Cu1 Cu 0.0000 0.0000 0.0000
Cu2 Cu 0.0003 0.1445 0.0678
Cu3 Cu 0.0679 0.2321 0.6497
Cu4 Cu 0.1597 0.3552 0.2608
Cu5 Cu 0.2579 0.5239 0.3964
Cu6 Cu 0.3079 0.6462 0.9117
Cu7 Cu 0.3219 0.7661 0.5485
Cu8 Cu 0.3814 0.8659 0.6288
Cu9 Cu 0.4331 0.9310 0.1805
Cu10 Cu 0.5129 0.0450 0.8171
Cu11 Cu 0.5248 0.0822 0.3074
Cu12 Cu 0.6111 0.2903 0.4479
Cu13 Cu 0.6414 0.3988 0.5225
Cu14 Cu 0.6499 0.3182 0.8825
Cu15 Cu 0.6844 0.5085 0.0910
Cu16 Cu 0.6947 0.4988 0.6008
Cu17 Cu 0.8142 0.6664 0.7420
Cu18 Cu 0.8953 0.8037 0.3501
Cu19 Cu 0.9667 0.0221 0.4954
Se1 Se 0.0037 0.1303 0.5675
Se2 Se 0.1093 0.2888 0.1955
Se3 Se 0.1986 0.4359 0.8426
Se4 Se 0.2923 0.6485 0.4652
Se5 Se 0.3674 0.8687 0.1116
Se6 Se 0.4889 0.0203 0.7519
Se7 Se 0.5777 0.1675 0.3775
Se8 Se 0.6763 0.3708 0.0216
Se9 Se 0.7489 0.6003 0.6714
Se10 Se 0.8414 0.7232 0.2833
Se11 Se 0.9691 0.9749 0.9332
```

=====

Copy entry 5 word for word.
Structure and calculated powder diffractogram of Ba3Nb6Si4O26 (a cell relaxed with PBE; Cu Kα X-rays).

The 10 most intense peaks (2θ = 10–90°), in order of falling intensity:
hkl	2theta	intensity
2 1 0	29.7	100.0
1 1 2	30.0	91.2
1 1 1	22.4	72.9
0 0 1	11.3	47.8
2 0 2	32.0	40.6
2 1 4	56.0	33.1
2 0 1	25.1	24.2
3 2 2	55.6	22.7
1 0 2	25.3	22.6
0 0 4	46.3	22.5

Crystal structure
```
data_Ba3Nb6Si4O26
_chemical_formula_sum 'Ba3 Nb6 Si4 O26'
_cell_length_a 9.1814
_cell_length_b 9.1814
_cell_length_c 7.8509
_cell_angle_alpha 90.00
_cell_angle_beta 90.00
_cell_angle_gamma 120.00
_space_group_name_H-M_alt 'P -6 2 m'
_space_group_IT_number 189
_space_group_name_Hall 'P -6 -2'
loop_
_atom_site_label
_atom_site_type_symbol
_atom_site_fract_x
_atom_site_fract_y
_atom_site_fract_z
Ba1 Ba 0.0000 0.5999 0.0000
Nb1 Nb 0.0000 0.2388 0.2557
Si1 Si 0.3333 0.6667 0.2942
O1 O 0.0000 0.2309 0.0000
O2 O 0.0000 0.2789 0.5000
O3 O 0.0000 0.8240 0.2652
O4 O 0.1841 0.4888 0.2161
O5 O 0.3333 0.6667 0.5000
```